(1)
Starting from a DFT-relaxed cell (PBE, Alexandria), the PXRD pattern of Ta3Cr5N4 was calculated for Cu Ka.
Kinematic intensities with the Lorentz-polarization factor, no thermal factor.

Top 10 peaks for 2θ from 5° to 70°, sorted by position:
2θ (°)	Rel. int.
6.05	49
12.12	25
24.38	17
32.24	62
36.93	28
38.84	100
42.59	74
48.13	17
57.62	30
61.81	23

```
data_Ta3Cr5N4
_chemical_formula_sum 'Ta3 Cr5 N4'
_cell_length_a 3.0019
_cell_length_b 3.0019
_cell_length_c 14.6048
_cell_angle_alpha 90.00
_cell_angle_beta 90.00
_cell_angle_gamma 90.00
_symmetry_space_group_name_H-M 'P 1'
_symmetry_Int_Tables_number 1
loop_
_symmetry_equiv_pos_as_xyz
'x,y,z'
loop_
_atom_site_label
_atom_site_fract_x
_atom_site_fract_y
_atom_site_fract_z
Ta1 0.0000 0.0000 0.0000
Ta2 0.0000 0.0000 0.4882
Ta3 0.5000 0.5000 0.6710
Cr1 0.0000 0.0000 0.2816
Cr2 0.0000 0.0000 0.7901
Cr3 0.5000 0.5000 0.1651
Cr4 0.5000 0.5000 0.3684
Cr5 0.5000 0.5000 0.8767
N1 0.0000 0.0000 0.1514
N2 0.0000 0.0000 0.6475
N3 0.5000 0.5000 0.0176
N4 0.5000 0.5000 0.5115
```



(2)
Starting from a DFT-relaxed cell (PBE, Alexandria), the PXRD pattern of BaSb2 was calculated for Cu Ka.
Kinematic intensities with the Lorentz-polarization factor, no thermal factor.

Top 10 peaks for 2θ from 5° to 70°, sorted by position:
2θ (°)	Rel. int.
27.07	29
31.85	100
33.31	38
38.65	4
47.82	12
50.93	35
55.81	30
63.11	5
65.72	12
66.57	15

```
data_BaSb2
_chemical_formula_sum 'Ba2 Sb4'
_cell_length_a 6.5885
_cell_length_b 6.5885
_cell_length_c 6.5885
_cell_angle_alpha 60.00
_cell_angle_beta 60.00
_cell_angle_gamma 60.00
_symmetry_space_group_name_H-M 'P 1'
_symmetry_Int_Tables_number 1
loop_
_symmetry_equiv_pos_as_xyz
'x,y,z'
loop_
_atom_site_label
_atom_site_fract_x
_atom_site_fract_y
_atom_site_fract_z
Ba1 0.1250 0.1250 0.1250
Ba2 0.8750 0.8750 0.8750
Sb1 0.0000 0.5000 0.5000
Sb2 0.5000 0.0000 0.5000
Sb3 0.5000 0.5000 0.0000
Sb4 0.5000 0.5000 0.5000
```



(3)
Starting from a DFT-relaxed cell (PBE, Alexandria), the PXRD pattern of CrSn2Hg2 was calculated for Cu Ka.
Kinematic intensities with the Lorentz-polarization factor, no thermal factor.

Top 10 peaks for 2θ from 5° to 70°, sorted by position:
2θ (°)	Rel. int.
9.74	63
19.56	32
29.52	38
33.79	22
34.10	100
38.30	49
46.77	31
52.29	20
56.28	26
61.22	26

```
data_CrSn2Hg2
_chemical_formula_sum 'Cr2 Sn4 Hg4'
_cell_length_a 3.8845
_cell_length_b 3.8845
_cell_length_c 18.1540
_cell_angle_alpha 90.00
_cell_angle_beta 90.00
_cell_angle_gamma 90.00
_symmetry_space_group_name_H-M 'P 1'
_symmetry_Int_Tables_number 1
loop_
_symmetry_equiv_pos_as_xyz
'x,y,z'
loop_
_atom_site_label
_atom_site_fract_x
_atom_site_fract_y
_atom_site_fract_z
Cr1 0.0000 0.0000 0.0000
Cr2 0.5000 0.5000 0.5000
Sn1 0.0000 0.0000 0.4164
Sn2 0.0000 0.0000 0.5836
Sn3 0.5000 0.5000 0.0836
Sn4 0.5000 0.5000 0.9164
Hg1 0.0000 0.5000 0.2500
Hg2 0.0000 0.5000 0.7500
Hg3 0.5000 0.0000 0.2500
Hg4 0.5000 0.0000 0.7500
```



(4)
Starting from a DFT-relaxed cell (PBE, Alexandria), the PXRD pattern of BaNaBrO was calculated for Cu Ka.
Kinematic intensities with the Lorentz-polarization factor, no thermal factor.

Top 10 peaks for 2θ from 5° to 70°, sorted by position:
2θ (°)	Rel. int.
12.83	56
24.18	41
28.48	100
29.70	40
37.27	24
39.00	32
42.36	45
44.44	15
51.83	18
64.33	18

```
data_BaNaBrO
_chemical_formula_sum 'Ba2 Na2 Br2 O2'
_cell_length_a 14.0211
_cell_length_b 14.0211
_cell_length_c 14.0211
_cell_angle_alpha 17.51
_cell_angle_beta 17.51
_cell_angle_gamma 17.51
_symmetry_space_group_name_H-M 'P 1'
_symmetry_Int_Tables_number 1
loop_
_symmetry_equiv_pos_as_xyz
'x,y,z'
loop_
_atom_site_label
_atom_site_fract_x
_atom_site_fract_y
_atom_site_fract_z
Ba1 0.0740 0.0740 0.0740
Ba2 0.9260 0.9260 0.9260
Na1 0.3155 0.3155 0.3155
Na2 0.6845 0.6845 0.6845
Br1 0.2116 0.2116 0.2116
Br2 0.7884 0.7884 0.7884
O1 0.3718 0.3718 0.3718
O2 0.6282 0.6282 0.6282
```